Structure and calculated powder diffractogram of Cs2NbTlF6 (DFT lattice parameters and positions (GGA-PBE); copper Kα).
No peak broadening, texture or thermal motion is included.

Crystal structure
Lattice parameters (Å, degrees): 9.6300 9.6300 9.6300 90.00 90.00 90.00
Space group Fm-3m (No. 225)
Symmetry-distinct sites (fractional):
Cs 0.2500 0.2500 0.2500 x8
Nb 0.0000 0.0000 0.0000 x4
Tl 0.0000 0.0000 0.5000 x4
F 0.0000 0.0000 0.2193 x24

Top 10 peaks for 2θ from 10° to 90°, most intense first:
Position (°2θ)  I/Imax
26.17  100
46.18  42
37.35  32
73.61  23
60.84  21
53.85  20
85.57  11
67.37  7
30.79  6
40.85  4